Record 1
Structure and calculated PXRD pattern of NpH8IrPd2 (the PBE geometry in Alexandria; Cu Kα, 1.54184 Å).
Intensities are scaled so that the largest is 100.

Atomic structure:
Lattice parameters (Å, degrees): 4.3476 4.5020 5.9419 94.87 111.20 96.96
Space group P-1 (No. 2)
One atom of each set of equivalent atoms:
Np 0.0000 0.0000 0.0000 [1 per cell]
H 0.1489 0.7357 0.3389 [2 per cell]
H 0.2294 0.2553 0.4314 [2 per cell]
H 0.2822 0.5445 0.0328 [2 per cell]
H 0.4062 0.9189 0.7504 [2 per cell]
Ir 0.5000 0.0000 0.5000 [1 per cell]
Pd 0.2838 0.4731 0.7480 [2 per cell]

Top 12 peaks for 10° ≤ 2θ ≤ 90°, by angle:
2theta	Rel. int.	(hkl)
20.1	25	0 1 0
22.0	21	1 0 -1
29.0	100	-1 1 1
30.9	89	1 1 -1
32.3	78	1 0 1
36.0	59	0 1 -2
40.8	41	0 2 0
41.1	41	0 1 2
45.0	30	2 0 -2
46.2	30	1 0 -3
46.7	27	2 -1 0
47.6	25	1 -2 1

---

Record 2
Structure and calculated PXRD pattern of HIrO4 (the PBE geometry in Alexandria; Cu Kα, 1.54184 Å).
Intensities are scaled so that the largest is 100.

Atomic structure:
Lattice parameters (Å, degrees): 5.9389 9.0483 5.4345 90.00 121.20 90.00
Space group Cc (No. 9)
One atom of each set of equivalent atoms:
H 0.0000 0.0050 0.0000 [4 per cell]
Ir 0.3975 0.1340 0.3901 [4 per cell]
O 0.0194 0.4874 0.6895 [4 per cell]
O 0.0625 0.0233 0.2059 [4 per cell]
O 0.2355 0.2665 0.0646 [4 per cell]
O 0.2803 0.2468 0.5706 [4 per cell]

Top 12 peaks for 10° ≤ 2θ ≤ 90°, by angle:
2theta	Rel. int.	(hkl)
20.0	81	1 1 0
20.5	100	1 1 -1
27.5	86	0 2 1
33.7	26	1 1 1
34.6	49	1 3 0
34.9	15	1 3 -1
35.3	19	2 0 0
36.2	35	2 2 -1
45.0	16	1 3 -2
53.2	14	2 2 1
55.1	21	2 4 -2
56.8	23	0 4 2

---

Record 3
Structure and calculated PXRD pattern of RbZnHIrO (the PBE geometry in Alexandria; Cu Kα, 1.54184 Å).
Intensities are scaled so that the largest is 100.

Atomic structure:
Lattice parameters (Å, degrees): 9.8111 3.2179 6.2823 90.00 96.80 90.00
Space group Cm (No. 8)
One atom of each set of equivalent atoms:
Rb 0.0000 0.0000 0.0000 [2 per cell]
Zn 0.2166 0.5000 0.5130 [2 per cell]
H 0.2934 0.0000 0.2387 [2 per cell]
Ir 0.4030 0.0000 0.4615 [2 per cell]
O 0.0643 0.5000 0.6741 [2 per cell]

Top 12 peaks for 10° ≤ 2θ ≤ 90°, by angle:
2theta	Rel. int.	(hkl)
14.2	100	0 0 1
18.2	51	2 0 0
21.8	21	2 0 -1
24.5	37	2 0 1
28.6	63	0 0 2
32.1	100	1 1 -1
33.1	43	1 1 1
39.4	42	3 1 0
40.9	29	3 1 -1
47.3	21	3 1 -2
51.5	27	3 1 2
52.3	21	1 1 -3

---

Record 4
Structure and calculated PXRD pattern of RbZnHIrO (the PBE geometry in Alexandria; Cu Kα, 1.54184 Å).
Intensities are scaled so that the largest is 100.

Atomic structure:
Lattice parameters (Å, degrees): 3.1746 3.8836 7.1276 88.88 83.66 89.95
Space group P1 (No. 1)
One atom of each set of equivalent atoms:
Rb 0.0000 0.0000 0.0000 [1 per cell]
Zn 0.1261 0.0169 0.4885 [1 per cell]
H 0.6588 0.5182 0.3269 [1 per cell]
Ir 0.6056 0.5139 0.5651 [1 per cell]
O 0.5420 0.5063 0.8340 [1 per cell]

Top 12 peaks for 10° ≤ 2θ ≤ 90°, by angle:
2theta	Rel. int.	(hkl)
12.5	100	0 0 1
25.1	62	0 0 2
26.0	26	0 1 1
26.4	26	0 1 -1
29.7	14	1 0 1
32.3	18	1 0 -1
36.7	64	1 -1 0
37.7	14	1 1 1
43.3	12	1 -1 2
46.6	13	-1 1 2
46.8	17	0 2 0
56.7	14	1 0 4

---

Record 5
Structure and calculated PXRD pattern of HIrOs2Se (the PBE geometry in Alexandria; Cu Kα, 1.54184 Å).
Intensities are scaled so that the largest is 100.

Atomic structure:
Lattice parameters (Å, degrees): 4.8657 4.8657 3.2149 90.00 90.00 90.00
Space group P4/mmm (No. 123)
One atom of each set of equivalent atoms:
H 0.0000 0.0000 0.0000 [1 per cell]
Ir 0.0000 0.0000 0.5000 [1 per cell]
Os 0.0000 0.5000 0.5000 [2 per cell]
Se 0.5000 0.5000 0.0000 [1 per cell]

Top 12 peaks for 10° ≤ 2θ ≤ 90°, by angle:
2theta	Rel. int.	(hkl)
18.2	17	1 0 0
27.7	59	0 0 1
33.4	45	1 0 1
36.9	100	2 0 0
38.3	31	1 1 1
46.8	58	2 0 1
50.7	28	2 1 1
53.2	35	2 2 0
57.3	14	0 0 2
61.1	27	2 2 1
70.2	31	2 0 2
82.0	21	2 2 2

---

Record 6
Structure and calculated PXRD pattern of PrPHIr (the PBE geometry in Alexandria; Cu Kα, 1.54184 Å).
Intensities are scaled so that the largest is 100.

Atomic structure:
Lattice parameters (Å, degrees): 3.9391 3.9391 10.0149 90.00 90.00 120.00
Space group P6_3mc (No. 186)
One atom of each set of equivalent atoms:
Pr 0.3333 0.6667 0.0000 [2 per cell]
P 0.3333 0.6667 0.6886 [2 per cell]
H 0.0000 0.0000 0.4167 [2 per cell]
Ir 0.0000 0.0000 0.2457 [2 per cell]

Top 12 peaks for 10° ≤ 2θ ≤ 90°, by angle:
2theta	Rel. int.	(hkl)
26.1	14	1 0 0
27.6	31	1 0 1
31.7	100	1 0 2
35.9	22	0 0 4
37.7	22	1 0 3
44.9	9	1 0 4
46.1	38	1 1 0
57.0	19	2 0 2
59.7	30	1 1 4
61.9	18	1 0 6
76.3	17	2 1 2
80.5	8	2 0 6

---

Record 7
Structure and calculated PXRD pattern of PaHIr (the PBE geometry in Alexandria; Cu Kα, 1.54184 Å).
Intensities are scaled so that the largest is 100.

Atomic structure:
Lattice parameters (Å, degrees): 3.8646 4.1272 6.0939 90.00 108.41 90.00
Space group P2_1 (No. 4)
One atom of each set of equivalent atoms:
Pa 0.1336 0.0000 0.2670 [2 per cell]
H 0.2933 0.6922 0.5860 [2 per cell]
Ir 0.4117 0.0049 0.8241 [2 per cell]

Top 12 peaks for 10° ≤ 2θ ≤ 90°, by angle:
2theta	Rel. int.	(hkl)
30.9	45	0 0 2
32.7	100	1 1 0
32.8	19	1 0 -2
38.0	19	0 1 2
39.6	87	1 1 1
43.9	27	0 2 0
47.0	23	2 0 -1
54.6	19	0 2 2
57.4	16	2 0 1
66.3	16	2 2 -1
74.9	15	2 2 1
78.1	23	1 2 -4

---

Record 8
Structure and calculated PXRD pattern of PaHIr3 (the PBE geometry in Alexandria; Cu Kα, 1.54184 Å).
Intensities are scaled so that the largest is 100.

Atomic structure:
Lattice parameters (Å, degrees): 5.9115 5.9115 7.1127 90.00 90.00 120.00
Space group R3m (No. 160, hexagonal axes)
One atom of each set of equivalent atoms:
Pa 0.0000 0.0000 0.0000 [3 per cell]
H 0.0000 0.0000 0.6444 [3 per cell]
Ir 0.0146 0.5073 0.9988 [9 per cell]

Top 12 peaks for 10° ≤ 2θ ≤ 90°, by angle:
2theta	Rel. int.	(hkl)
21.4	2	1 0 1
37.3	100	0 2 1
38.0	32	0 0 3
43.6	65	2 0 2
48.8	1	2 1 1
62.9	22	2 2 0
63.7	22	0 2 4
75.5	13	4 0 1
75.9	26	2 2 3
76.6	13	2 0 5
79.6	11	0 4 2
81.1	4	0 0 6

---

Record 9
Structure and calculated PXRD pattern of PaH6IrRh (the PBE geometry in Alexandria; Cu Kα, 1.54184 Å).
Intensities are scaled so that the largest is 100.

Atomic structure:
Lattice parameters (Å, degrees): 4.3386 4.3991 4.6688 87.37 86.70 68.56
Space group P1 (No. 1)
One atom of each set of equivalent atoms:
Pa 0.0000 0.0000 0.0000 [1 per cell]
H 0.0821 0.4130 0.2846 [1 per cell]
H 0.2869 0.9239 0.4365 [1 per cell]
H 0.4264 0.4177 0.9178 [1 per cell]
H 0.5671 0.5604 0.1012 [1 per cell]
H 0.7099 0.0639 0.5574 [1 per cell]
H 0.9020 0.5991 0.7152 [1 per cell]
Ir 0.7070 0.7112 0.3632 [1 per cell]
Rh 0.2824 0.2826 0.6487 [1 per cell]

Top 12 peaks for 10° ≤ 2θ ≤ 90°, by angle:
2theta	Rel. int.	(hkl)
21.7	12	0 1 0
28.6	100	1 0 1
30.4	16	1 1 1
32.4	38	1 1 -1
36.5	30	1 -1 0
41.6	14	1 2 0
42.1	13	2 1 0
45.3	17	0 1 -2
45.8	16	1 0 -2
49.1	12	0 2 -1
50.1	12	2 0 -1
61.0	13	2 -1 1

---

Record 10
Structure and calculated PXRD pattern of H5IrPb2 (the PBE geometry in Alexandria; Cu Kα, 1.54184 Å).
Intensities are scaled so that the largest is 100.

Atomic structure:
Lattice parameters (Å, degrees): 5.2335 5.2574 7.8690 90.00 90.00 90.00
Space group Imm2 (No. 44)
One atom of each set of equivalent atoms:
H 0.0000 0.0000 0.0000 [2 per cell]
H 0.2280 0.2264 0.7661 [8 per cell]
Ir 0.0000 0.0000 0.7859 [2 per cell]
Pb 0.0000 0.5000 0.0095 [2 per cell]
Pb 0.0000 0.5000 0.5104 [2 per cell]

Top 12 peaks for 10° ≤ 2θ ≤ 90°, by angle:
2theta	Rel. int.	(hkl)
20.3	35	1 0 1
22.6	10	0 0 2
24.0	15	1 1 0
33.2	100	1 1 2
34.1	24	0 2 0
34.3	23	2 0 0
46.1	10	0 0 4
49.1	18	2 2 0
58.6	9	0 2 4
60.5	19	1 3 2
60.7	18	3 1 2
69.7	12	2 2 4

---

Record 11
Structure and calculated PXRD pattern of PmH6Ir2Pb (the PBE geometry in Alexandria; Cu Kα, 1.54184 Å).
Intensities are scaled so that the largest is 100.

Atomic structure:
Lattice parameters (Å, degrees): 7.8796 9.9193 6.1859 90.00 105.57 90.00
Space group C2/c (No. 15)
One atom of each set of equivalent atoms:
Pm 0.0000 0.1277 0.2500 [4 per cell]
H 0.0796 0.0957 0.6408 [8 per cell]
H 0.1989 0.2783 0.1291 [8 per cell]
H 0.2206 0.4998 0.0741 [8 per cell]
Ir 0.2026 0.3982 0.3145 [8 per cell]
Pb 0.0000 0.3589 0.7500 [4 per cell]

Top 12 peaks for 10° ≤ 2θ ≤ 90°, by angle:
2theta	Rel. int.	(hkl)
14.7	15	1 1 0
30.0	44	0 0 2
30.2	68	2 2 -1
30.5	19	1 1 -2
31.6	11	1 3 -1
35.8	11	3 1 -1
36.2	100	2 2 1
44.4	9	3 3 -1
47.7	20	0 4 2
60.7	16	4 2 -3
61.1	17	2 2 3
61.5	12	4 4 0

---

Number 11 is which compound?
PmH6Ir2Pb